# BaGe3Pt
Simulated X-ray diffraction stick pattern, Cu Kα X-rays. Input: a crystal structure in the Materials Project, relaxed with GGA-PBE.

Top 10 peaks for 10° ≤ 2θ ≤ 80°, low angle first:
two_theta	d/Å	intensity
21.03	4.223	354
27.31	3.266	420
32.22	2.778	1000
32.34	2.768	693
39.00	2.309	808
44.45	2.038	314
47.83	1.902	254
51.45	1.776	537
56.34	1.633	275
66.45	1.407	296

abc: 6.1551 6.1551 6.1551
angles: 135.93 135.93 64.09
Sites, in units of the cell vectors:
Ba (0.0000, 0.0000, 0.0000)
Ge (0.2461, 0.7461, 0.5000)
Ge (0.5989, 0.5989, 0.0000)
Ge (0.7461, 0.2461, 0.5000)
Pt (0.3518, 0.3518, 0.0000)



# Ba4In2O7
Simulated X-ray diffraction stick pattern, Cu Kα X-rays. Input: a crystal structure in the Materials Project, relaxed with GGA-PBE.

Top 10 peaks for 10° ≤ 2θ ≤ 80°, low angle first:
two_theta	d/Å	intensity
12.17	7.274	270
21.03	4.224	108
25.89	3.442	106
29.59	3.018	675
30.01	2.978	1000
38.77	2.323	145
40.10	2.249	124
42.35	2.134	344
52.77	1.735	411
53.53	1.712	140

abc: 14.8576 14.8576 6.0447
angles: 90.00 90.00 156.59
Sites, in units of the cell vectors:
Ba (0.0476, 0.9524, 0.7500)
Ba (0.1807, 0.8193, 0.7500)
Ba (0.3204, 0.6796, 0.7500)
Ba (0.4495, 0.5505, 0.7500)
Ba (0.5505, 0.4495, 0.2500)
Ba (0.6796, 0.3204, 0.2500)
Ba (0.8193, 0.1807, 0.2500)
Ba (0.9524, 0.0476, 0.2500)
In (0.1201, 0.8799, 0.2500)
In (0.3921, 0.6079, 0.2500)
In (0.6079, 0.3921, 0.7500)
In (0.8799, 0.1201, 0.7500)
O (0.0433, 0.9567, 0.2500)
O (0.1326, 0.3841, 0.0080)
O (0.1326, 0.3841, 0.4920)
O (0.1972, 0.8028, 0.2500)
O (0.3841, 0.1326, 0.5080)
O (0.3841, 0.1326, 0.9920)
O (0.4639, 0.5361, 0.2500)
O (0.5361, 0.4639, 0.7500)
O (0.6159, 0.8674, 0.0080)
O (0.6159, 0.8674, 0.4920)
O (0.8028, 0.1972, 0.7500)
O (0.8674, 0.6159, 0.5080)
O (0.8674, 0.6159, 0.9920)
O (0.9567, 0.0433, 0.7500)



# KRb2CO3F
Simulated X-ray diffraction stick pattern, Cu Kα X-rays. Input: a crystal structure in the Materials Project, relaxed with GGA-PBE.

Top 10 peaks for 10° ≤ 2θ ≤ 80°, low angle first:
two_theta	d/Å	intensity
27.53	3.240	373
27.68	3.223	504
27.84	3.204	368
28.38	3.145	926
28.59	3.122	492
31.07	2.878	1000
33.53	2.673	491
33.87	2.647	904
35.61	2.521	731
50.06	1.822	415

abc: 7.3259 7.3259 7.2515
angles: 115.52 115.52 64.14
Sites, in units of the cell vectors:
K (0.2148, 0.2148, 0.4296)
K (0.7852, 0.7852, 0.5704)
Rb (0.2849, 0.1480, 0.9329)
Rb (0.3521, 0.6479, 0.0000)
Rb (0.7184, 0.2816, 0.5000)
Rb (0.8520, 0.7151, 0.0671)
C (0.2855, 0.7145, 0.5000)
C (0.7866, 0.2134, 0.0000)
O (0.1174, 0.8826, 0.5000)
O (0.2838, 0.5451, 0.3333)
O (0.4549, 0.7162, 0.6667)
O (0.6184, 0.2127, 0.8319)
O (0.7873, 0.3816, 0.1681)
O (0.9548, 0.0452, 0.0000)
F (0.0346, 0.4665, 0.7392)
F (0.5335, 0.9654, 0.2608)